[1]
For Li4ZnH12N6, a structure optimized by DFT (PBE) gives the computed powder diffractogram in this record (Cu Ka).
Lines closer than 0.1° are merged.

Main lines, sorted by position (15 to 90 degrees two-theta):
| d/Å | I_rel |
| --- | --- |
| 4.887 | 50 |
| 4.608 | 28 |
| 4.168 | 78 |
| 4.113 | 22 |
| 3.549 | 23 |
| 3.502 | 25 |
| 2.846 | 100 |
| 2.660 | 24 |
| 1.761 | 22 |
| 1.751 | 21 |

Structural model:
a b c (Å): 7.992 7.992 9.774
angles (deg): 90.00 90.00 144.79
Element x y z (fractional)
Li 0.001 0.001 0.500
Li 0.001 0.999 0.750
Li 0.158 0.842 0.750
Li 0.344 0.656 0.250
Li 0.656 0.344 0.750
Li 0.842 0.158 0.250
Li 0.999 0.001 0.250
Li 0.999 0.999 0.000
Zn 0.171 0.829 0.250
Zn 0.829 0.171 0.750
H 0.084 0.564 0.046
H 0.106 0.345 0.967
H 0.114 0.355 0.455
H 0.211 0.648 0.632
H 0.334 0.494 0.846
H 0.345 0.106 0.033
H 0.352 0.789 0.868
H 0.355 0.114 0.545
H 0.374 0.463 0.387
H 0.436 0.916 0.454
H 0.463 0.374 0.613
H 0.494 0.334 0.154
H 0.506 0.666 0.654
H 0.537 0.626 0.113
H 0.564 0.084 0.954
H 0.626 0.537 0.887
H 0.645 0.886 0.045
H 0.648 0.211 0.368
H 0.655 0.894 0.533
H 0.666 0.506 0.346
H 0.789 0.352 0.132
H 0.886 0.645 0.955
H 0.894 0.655 0.467
H 0.916 0.436 0.546
N 0.003 0.494 0.144
N 0.124 0.298 0.875
N 0.161 0.322 0.370
N 0.298 0.124 0.125
N 0.322 0.161 0.630
N 0.494 0.003 0.856
N 0.506 0.997 0.356
N 0.678 0.839 0.130
N 0.702 0.876 0.625
N 0.839 0.678 0.870
N 0.876 0.702 0.375
N 0.997 0.506 0.644

=====

[2]
For Cs2TcBr6, a structure optimized by DFT (PBE) gives the computed powder diffractogram in this record (Cu Ka).
Lines closer than 0.1° are merged.

Main lines, sorted by position (15 to 90 degrees two-theta):
| d/Å | I_rel |
| --- | --- |
| 3.860 | 25 |
| 3.152 | 100 |
| 2.730 | 87 |
| 2.101 | 12 |
| 1.930 | 59 |
| 1.646 | 39 |
| 1.576 | 20 |
| 1.252 | 14 |
| 1.221 | 24 |
| 1.114 | 18 |

Structural model:
a b c (Å): 7.720 7.720 7.720
angles (deg): 60.00 60.00 60.00
Element x y z (fractional)
Cs 0.250 0.250 0.250
Cs 0.750 0.750 0.750
Tc 0.000 0.000 0.000
Br 0.233 0.233 0.767
Br 0.233 0.767 0.233
Br 0.233 0.767 0.767
Br 0.767 0.233 0.233
Br 0.767 0.233 0.767
Br 0.767 0.767 0.233

=====

[3]
For SrAgSeO, a structure optimized by DFT (PBE) gives the computed powder diffractogram in this record (Cu Ka).
Lines closer than 0.1° are merged.

Main lines, sorted by position (15 to 90 degrees two-theta):
| d/Å | I_rel |
| --- | --- |
| 3.207 | 75 |
| 2.970 | 27 |
| 2.948 | 44 |
| 2.892 | 87 |
| 2.757 | 100 |
| 2.317 | 93 |
| 2.281 | 24 |
| 2.213 | 50 |
| 1.967 | 22 |
| 1.633 | 20 |

Structural model:
a b c (Å): 6.429 6.699 7.398
angles (deg): 90.00 90.00 90.00
Element x y z (fractional)
Sr 0.173 0.079 0.438
Sr 0.327 0.921 0.938
Sr 0.673 0.421 0.562
Sr 0.827 0.579 0.062
Ag 0.210 0.573 0.344
Ag 0.290 0.427 0.844
Ag 0.710 0.927 0.656
Ag 0.790 0.073 0.156
Se 0.053 0.690 0.663
Se 0.447 0.310 0.163
Se 0.553 0.810 0.337
Se 0.947 0.190 0.837
O 0.053 0.857 0.174
O 0.447 0.143 0.674
O 0.553 0.643 0.826
O 0.947 0.357 0.326

=====

[4]
For Tb2GdSi4Au4, a structure optimized by DFT (PBE) gives the computed powder diffractogram in this record (Cu Ka).
Lines closer than 0.1° are merged.

Main lines, sorted by position (15 to 90 degrees two-theta):
| d/Å | I_rel |
| --- | --- |
| 3.187 | 56 |
| 2.664 | 100 |
| 2.638 | 22 |
| 2.553 | 69 |
| 2.374 | 44 |
| 2.355 | 65 |
| 2.149 | 46 |
| 2.092 | 48 |
| 1.628 | 22 |
| 1.499 | 33 |

Structural model:
a b c (Å): 8.220 8.220 8.220
angles (deg): 149.68 129.66 59.90
Element x y z (fractional)
Tb 0.126 0.126 0.000
Tb 0.874 0.874 0.000
Gd 0.500 0.000 0.500
Si 0.175 0.500 0.675
Si 0.283 0.783 0.500
Si 0.717 0.217 0.500
Si 0.825 0.500 0.325
Au 0.134 0.335 0.799
Au 0.464 0.665 0.799
Au 0.536 0.335 0.201
Au 0.866 0.665 0.201

=====

[5]
For NaLuNiSe3, a structure optimized by DFT (PBE) gives the computed powder diffractogram in this record (Cu Ka).
Lines closer than 0.1° are merged.

Main lines, sorted by position (15 to 90 degrees two-theta):
| d/Å | I_rel |
| --- | --- |
| 3.045 | 38 |
| 2.975 | 41 |
| 2.855 | 40 |
| 2.567 | 100 |
| 2.386 | 28 |
| 2.103 | 46 |
| 2.064 | 65 |
| 2.050 | 21 |
| 1.942 | 28 |
| 1.543 | 25 |

Structural model:
a b c (Å): 7.207 7.207 10.165
angles (deg): 90.00 90.00 148.73
Element x y z (fractional)
Na 0.245 0.755 0.750
Na 0.755 0.245 0.250
Lu 0.000 0.000 0.000
Lu 0.000 0.000 0.500
Ni 0.484 0.516 0.250
Ni 0.516 0.484 0.750
Se 0.086 0.914 0.250
Se 0.368 0.632 0.079
Se 0.368 0.632 0.421
Se 0.632 0.368 0.579
Se 0.632 0.368 0.921
Se 0.914 0.086 0.750

=====

[6]
For HoCo2BP, a structure optimized by DFT (PBE) gives the computed powder diffractogram in this record (Cu Ka).
Lines closer than 0.1° are merged.

Main lines, sorted by position (15 to 90 degrees two-theta):
| d/Å | I_rel |
| --- | --- |
| 3.408 | 67 |
| 2.364 | 50 |
| 2.320 | 20 |
| 2.262 | 100 |
| 1.832 | 33 |
| 1.656 | 16 |
| 1.614 | 17 |
| 1.448 | 21 |
| 1.438 | 17 |
| 1.124 | 20 |

Structural model:
a b c (Å): 5.314 5.314 5.314
angles (deg): 139.67 139.67 58.36
Element x y z (fractional)
Ho 0.000 0.000 0.000
Co 0.263 0.763 0.500
Co 0.763 0.263 0.500
B 0.373 0.373 0.000
P 0.627 0.627 0.000

=====

[7]
For BaHoTe2AuS, a structure optimized by DFT (PBE) gives the computed powder diffractogram in this record (Cu Ka).
Lines closer than 0.1° are merged.

Main lines, sorted by position (15 to 90 degrees two-theta):
| d/Å | I_rel |
| --- | --- |
| 4.202 | 20 |
| 3.311 | 36 |
| 3.289 | 26 |
| 3.146 | 48 |
| 3.069 | 25 |
| 2.806 | 100 |
| 2.727 | 28 |
| 2.688 | 36 |
| 2.244 | 53 |
| 2.189 | 35 |

Structural model:
a b c (Å): 7.789 7.789 10.753
angles (deg): 90.00 90.00 147.35
Element x y z (fractional)
Ba 0.229 0.771 0.750
Ba 0.771 0.229 0.250
Ho 0.500 0.500 0.000
Ho 0.500 0.500 0.500
Te 0.143 0.857 0.053
Te 0.143 0.857 0.447
Te 0.857 0.143 0.553
Te 0.857 0.143 0.947
Au 0.023 0.977 0.250
Au 0.977 0.023 0.750
S 0.431 0.569 0.250
S 0.569 0.431 0.750

=====

[8]
For NaPmNO, a structure optimized by DFT (PBE) gives the computed powder diffractogram in this record (Cu Ka).
Lines closer than 0.1° are merged.

Main lines, sorted by position (15 to 90 degrees two-theta):
| d/Å | I_rel |
| --- | --- |
| 4.015 | 100 |
| 3.954 | 47 |
| 3.676 | 40 |
| 3.483 | 40 |
| 2.917 | 30 |
| 2.818 | 93 |
| 2.397 | 36 |
| 2.083 | 40 |
| 1.976 | 35 |
| 1.573 | 52 |

Structural model:
a b c (Å): 4.793 3.954 7.353
angles (deg): 90.00 90.00 90.00
Element x y z (fractional)
Na 0.250 0.000 0.144
Na 0.750 0.000 0.856
Pm 0.250 0.500 0.687
Pm 0.750 0.500 0.313
N 0.250 0.500 0.363
N 0.750 0.500 0.637
O 0.250 0.000 0.833
O 0.750 0.000 0.167

=====

[9]
For PrCuGeTeSe2, a structure optimized by DFT (PBE) gives the computed powder diffractogram in this record (Cu Ka).
Lines closer than 0.1° are merged.

Main lines, sorted by position (15 to 90 degrees two-theta):
| d/Å | I_rel |
| --- | --- |
| 3.333 | 29 |
| 2.913 | 48 |
| 2.880 | 23 |
| 2.668 | 100 |
| 2.316 | 28 |
| 2.088 | 31 |
| 2.035 | 26 |
| 1.934 | 24 |
| 1.661 | 17 |
| 1.401 | 16 |

Structural model:
a b c (Å): 7.015 7.015 11.519
angles (deg): 90.00 90.00 146.28
Element x y z (fractional)
Pr 0.000 0.000 0.000
Pr 0.000 0.000 0.500
Cu 0.474 0.526 0.750
Cu 0.526 0.474 0.250
Ge 0.205 0.795 0.250
Ge 0.795 0.205 0.750
Te 0.104 0.896 0.750
Te 0.896 0.104 0.250
Se 0.356 0.644 0.585
Se 0.356 0.644 0.915
Se 0.644 0.356 0.085
Se 0.644 0.356 0.415

=====

[10]
For Cs2Zn3Te4, a structure optimized by DFT (PBE) gives the computed powder diffractogram in this record (Cu Ka).
Lines closer than 0.1° are merged.

Main lines, sorted by position (15 to 90 degrees two-theta):
| d/Å | I_rel |
| --- | --- |
| 3.418 | 100 |
| 3.269 | 11 |
| 3.227 | 12 |
| 3.007 | 7 |
| 2.296 | 27 |
| 2.015 | 16 |
| 2.005 | 16 |
| 1.915 | 16 |
| 1.898 | 18 |
| 1.599 | 7 |

Structural model:
a b c (Å): 10.549 10.549 10.549
angles (deg): 143.90 104.57 86.59
Element x y z (fractional)
Cs 0.122 0.230 0.352
Cs 0.378 0.730 0.108
Cs 0.622 0.270 0.892
Cs 0.878 0.770 0.648
Zn 0.020 0.250 0.770
Zn 0.250 0.750 0.500
Zn 0.480 0.250 0.230
Zn 0.520 0.750 0.770
Zn 0.750 0.250 0.500
Zn 0.980 0.750 0.230
Te 0.019 0.428 0.145
Te 0.217 0.072 0.591
Te 0.283 0.874 0.855
Te 0.481 0.626 0.409
Te 0.519 0.374 0.591
Te 0.717 0.126 0.145
Te 0.783 0.928 0.409
Te 0.981 0.572 0.855

=====

[11]
For Ta4Ga3Mo2N3, a structure optimized by DFT (PBE) gives the computed powder diffractogram in this record (Cu Ka).
Lines closer than 0.1° are merged.

Main lines, sorted by position (15 to 90 degrees two-theta):
| d/Å | I_rel |
| --- | --- |
| 3.586 | 12 |
| 2.557 | 21 |
| 2.391 | 21 |
| 2.255 | 100 |
| 1.746 | 15 |
| 1.599 | 10 |
| 1.475 | 13 |
| 1.352 | 13 |
| 1.255 | 11 |
| 1.236 | 10 |

Structural model:
a b c (Å): 5.117 5.117 14.648
angles (deg): 100.12 100.12 59.86
Element x y z (fractional)
Ta 0.027 0.203 0.095
Ta 0.138 0.302 0.405
Ta 0.203 0.027 0.595
Ta 0.302 0.138 0.905
Ta 0.698 0.862 0.095
Ta 0.797 0.973 0.405
Ta 0.862 0.698 0.595
Ta 0.973 0.797 0.905
Ga 0.093 0.907 0.250
Ga 0.263 0.415 0.749
Ga 0.415 0.263 0.249
Ga 0.585 0.737 0.751
Ga 0.737 0.585 0.251
Ga 0.907 0.093 0.750
Mo 0.369 0.534 0.097
Mo 0.466 0.631 0.403
Mo 0.534 0.369 0.597
Mo 0.631 0.466 0.903
N 0.000 0.500 0.000
N 0.158 0.671 0.500
N 0.329 0.842 0.000
N 0.500 0.000 0.500
N 0.671 0.158 0.000
N 0.842 0.329 0.500

=====

[12]
For CsBaNp, a structure optimized by DFT (PBE) gives the computed powder diffractogram in this record (Cu Ka).
Lines closer than 0.1° are merged.

Main lines, sorted by position (15 to 90 degrees two-theta):
| d/Å | I_rel |
| --- | --- |
| 5.268 | 47 |
| 3.226 | 100 |
| 2.751 | 29 |
| 2.281 | 19 |
| 2.093 | 13 |
| 1.862 | 42 |
| 1.756 | 11 |
| 1.613 | 13 |
| 1.443 | 19 |
| 1.219 | 22 |

Structural model:
a b c (Å): 6.452 6.452 6.452
angles (deg): 60.00 60.00 60.00
Element x y z (fractional)
Cs 0.000 0.000 0.000
Ba 0.500 0.500 0.500
Np 0.750 0.750 0.750